[1]
For Tm3ZrCd2C2, a DFT-relaxed cell (PBE, OQMD) gives the theoretical X-ray powder pattern in this record (Cu Kα, 1.54184 Å).

Top 6 peaks for 5° ≤ 2θ ≤ 70°, in order of rising 2θ:
h k l	2θ (°)	I/Imax
1 0 0	29.8	22
0 0 6	33.7	22
0 1 3	34.3	100
1 1 0	52.9	20
0 1 9	60.6	18
1 1 6	64.2	20

Cell and atoms:
```
data_Tm3ZrCd2C2
_chemical_formula_sum 'Tm3 Zr1 Cd2 C2'
_symmetry_space_group_name_H-M 'P 3 m 1'
_symmetry_Int_Tables_number 156
_cell_length_a 3.4604
_cell_length_b 3.4604
_cell_length_c 15.9714
_cell_angle_alpha 90.00
_cell_angle_beta 90.00
_cell_angle_gamma 120.00
loop_
_symmetry_equiv_pos_as_xyz
'x,y,z'
'-y,x-y,z'
'-x+y,-x,z'
'-y,-x,z'
'-x+y,y,z'
'x,x-y,z'
loop_
_atom_site_label
_atom_site_type_symbol
_atom_site_fract_x
_atom_site_fract_y
_atom_site_fract_z
_atom_site_occupancy
Tm1 Tm 0.0000 0.0000 0.0000 1
Tm2 Tm 0.0000 0.0000 0.3360 1
Tm3 Tm 0.6667 0.3333 0.8323 1
Zr1 Zr 0.6667 0.3333 0.4977 1
Cd1 Cd 0.0000 0.0000 0.6569 1
Cd2 Cd 0.6667 0.3333 0.1697 1
C1 C 0.3333 0.6667 0.4263 1
C2 C 0.3333 0.6667 0.9162 1
```

***

[2]
For TmZrCdC, a DFT-relaxed cell (PBE, OQMD) gives the theoretical X-ray powder pattern in this record (Cu Kα, 1.54184 Å).

Top 6 peaks for 5° ≤ 2θ ≤ 70°, in order of rising 2θ:
h k l	2θ (°)	I/Imax
1 0 0	30.3	24
0 0 6	34.2	22
1 0 3	34.9	100
1 1 0	53.7	20
1 0 9	61.6	18
1 1 6	65.2	20

Cell and atoms:
```
data_TmZrCdC
_chemical_formula_sum 'Tm2 Zr2 Cd2 C2'
_symmetry_space_group_name_H-M 'P -6 m 2'
_symmetry_Int_Tables_number 187
_symmetry_space_group_name_Hall 'P -6 2'
_cell_length_a 3.4112
_cell_length_b 3.4112
_cell_length_c 15.7455
_cell_angle_alpha 90.00
_cell_angle_beta 90.00
_cell_angle_gamma 120.00
loop_
_atom_site_label
_atom_site_type_symbol
_atom_site_fract_x
_atom_site_fract_y
_atom_site_fract_z
_atom_site_occupancy
Tm1 Tm 0.0000 0.0000 0.1704 1
Zr1 Zr 0.6667 0.3333 0.3358 1
Cd1 Cd 0.0000 0.0000 0.5000 1
Cd2 Cd 0.6667 0.3333 0.0000 1
C1 C 0.3333 0.6667 0.2618 1
```

***

[3]
For Y4Zr2Cd3C3, a DFT-relaxed cell (PBE, OQMD) gives the theoretical X-ray powder pattern in this record (Cu Kα, 1.54184 Å).

Top 6 peaks for 5° ≤ 2θ ≤ 70°, in order of rising 2θ:
h k l	2θ (°)	I/Imax
3 1 -1	29.4	39
0 0 6	33.9	100
0 2 3	34.0	61
3 1 -4	34.3	60
3 3 -1	52.2	22
6 0 -2	52.2	12

Cell and atoms:
```
data_Y4Zr2Cd3C3
_chemical_formula_sum 'Y16 Zr8 Cd12 C12'
_symmetry_space_group_name_H-M 'C 1 2/c 1'
_symmetry_Int_Tables_number 15
_cell_length_a 10.5088
_cell_length_b 6.0764
_cell_length_c 16.2098
_cell_angle_alpha 90.00
_cell_angle_beta 101.55
_cell_angle_gamma 90.00
loop_
_symmetry_equiv_pos_as_xyz
'x,y,z'
'-x,-y,-z'
'-x,y,-z+1/2'
'x,-y,z+1/2'
'x+1/2,y+1/2,z'
'-x+1/2,-y+1/2,-z'
'-x+1/2,y+1/2,-z+1/2'
'x+1/2,-y+1/2,z+1/2'
loop_
_atom_site_label
_atom_site_type_symbol
_atom_site_fract_x
_atom_site_fract_y
_atom_site_fract_z
_atom_site_occupancy
Y1 Y 0.1105 0.0749 0.0896 1
Y2 Y 0.2186 0.0879 0.4102 1
Zr1 Zr 0.0656 0.4119 0.9275 1
Cd1 Cd 0.0000 0.1311 0.7500 1
Cd2 Cd 0.1439 0.4389 0.2508 1
C1 C 0.0767 0.2701 0.5000 1
C2 C 0.2500 0.2500 0.0000 1
```